(1)
The following is a computed XRD peak list of GaSnO3. It was derived from a cell relaxed with GGA-PBE, using Cu Kα (λ = 1.5418 Å).

Top 10 peaks for 10 to 90 degrees two-theta, low angle first:
2θ (°)  I_rel  h k l
22.97  3  1 0 0
32.71  100  1 1 0
40.34  11  1 1 1
46.93  33  2 0 0
52.87  2  2 1 0
58.38  40  2 1 1
68.54  20  2 2 0
78.04  18  3 1 0
82.65  4  3 1 1
87.21  7  2 2 2

Cell and atoms:
Unit cell a=3.8721 b=3.8721 c=3.8721 alpha=90.00 beta=90.00 gamma=90.00
Space group Pm-3m (No. 221)
Inequivalent atoms, fractional coordinates:
Ga: 0.0000 0.0000 0.0000
Sn: 0.5000 0.5000 0.5000
O: 0.0000 0.0000 0.5000

(2)
The following is a computed XRD peak list of CaY2Ge4O12. It was derived from a cell relaxed with GGA-PBE, using Cu Kα (λ = 1.5418 Å).

Top 10 peaks for 10 to 90 degrees two-theta, low angle first:
2θ (°)  I_rel  h k l
12.36  11  2 0 0
21.34  24  2 0 1
30.45  100  0 4 1
35.08  9  0 0 2
35.43  22  4 4 0
49.18  7  6 4 1
50.71  26  4 4 2
60.08  14  0 4 3
60.54  23  4 8 1
82.61  9  4 8 3

Cell and atoms:
Unit cell a=14.3177 b=14.3502 c=5.1165 alpha=90.00 beta=90.00 gamma=90.00
Space group Cmme (No. 67)
Inequivalent atoms, fractional coordinates:
Ca: 0.0000 0.0000 0.0000
Y: 0.2500 0.0000 0.0000
Y: 0.2500 0.2500 0.0000
Ge: 0.1140 0.1351 0.4980
O: 0.0000 0.1288 0.6532
O: 0.1222 0.0555 0.2453
O: 0.1260 0.2500 0.3384
O: 0.1928 0.1344 0.7590

(3)
The following is a computed XRD peak list of SrAlO2F4. It was derived from a cell relaxed with GGA-PBE, using Cu Kα (λ = 1.5418 Å).

Top 10 peaks for 10 to 90 degrees two-theta, low angle first:
2θ (°)  I_rel  h k l
14.39  31  2 0 0
18.12  53  1 1 0
18.47  81  1 1 -1
25.77  45  2 0 -4
26.50  100  0 0 4
28.66  30  1 1 3
34.25  26  2 0 4
40.24  31  0 0 6
44.12  33  6 0 0
44.48  29  5 1 -5

Cell and atoms:
Unit cell a=12.9995 b=5.3366 c=14.2121 alpha=90.00 beta=108.77 gamma=90.00
Space group C2/c (No. 15)
Inequivalent atoms, fractional coordinates:
Sr: 0.1695 0.1820 0.3464
Al: 0.1077 0.1101 0.0859
O: 0.0031 0.1691 0.5419
O: 0.1059 0.3093 0.8506
F: 0.0258 0.2119 0.1610
F: 0.1735 0.3993 0.0959
F: 0.1879 0.0465 0.5195
F: 0.1983 0.0322 0.6972